Structure and theoretical X-ray powder pattern of Sm2Ho3Tl6 (DFT lattice parameters and positions (PBE); Cu Kα (weighted mean of Kα1 and Kα2)).
Neutral-atom scattering factors, no anomalous dispersion.

Largest 6 diffraction maxima, low angle first, 2θ = 10–90°:
| d_spacing | I/Imax |
| --- | --- |
| 3.924 | 367 |
| 2.962 | 1000 |
| 2.817 | 595 |
| 2.329 | 208 |
| 2.094 | 381 |
| 2.041 | 478 |

Atomic structure:
a = 11.964 Å, b = 11.964 Å, c = 11.964 Å
α = 151.33°, β = 151.33°, γ = 40.99°
Sites, in units of the cell vectors:
Sm  0.079  0.079  0.000
Sm  0.921  0.921  0.000
Ho  0.358  0.358  0.000
Ho  0.500  0.500  0.000
Ho  0.642  0.642  0.000
Tl  0.073  0.573  0.500
Tl  0.220  0.220  0.000
Tl  0.427  0.927  0.500
Tl  0.573  0.073  0.500
Tl  0.780  0.780  0.000
Tl  0.927  0.427  0.500